CuC3N2O5: theoretical PXRD pattern (Cu Ka), based on a cell relaxed with PBE.

Structural model:
Cell lengths 7.558, 7.790, 8.818 Å; angles 91.65, 110.69, 114.65 degrees
Space group P-1 (No. 2)
One atom of each set of equivalent atoms:
Cu1 0.143 0.101 0.128 [2 per cell]
C1 0.195 0.762 0.996 [2 per cell]
C2 0.203 0.222 0.817 [2 per cell]
C3 0.436 0.730 0.594 [2 per cell]
N1 0.236 0.649 0.472 [2 per cell]
N2 0.333 0.841 0.557 [2 per cell]
O1 0.045 0.663 0.875 [2 per cell]
O2 0.058 0.136 0.689 [2 per cell]
O3 0.348 0.856 0.117 [2 per cell]
O4 0.350 0.311 0.942 [2 per cell]
O5 0.406 0.288 0.324 [2 per cell]

Top 10 peaks for 15 to 90 degrees two-theta, by intensity:
hkl 1 1 -2, 3.492 Å, I = 100.0; hkl -1 1 1, 5.584 Å, I = 58.9; hkl 2 -2 0, 3.153 Å, I = 42.7; hkl -2 2 1, 3.177 Å, I = 39.7; hkl 0 1 -1, 5.894 Å, I = 38.6; hkl 1 -2 0, 3.871 Å, I = 21.0; hkl 1 1 2, 2.391 Å, I = 19.9; hkl -1 1 2, 3.788 Å, I = 19.3; hkl 2 1 -3, 2.326 Å, I = 15.4; hkl 2 0 -3, 2.633 Å, I = 14.9



La3MgTi4O12: theoretical PXRD pattern (Cu Ka), based on a cell relaxed with PBE.

Structural model:
Cell lengths 7.789, 7.765, 9.227 Å; angles 90.00, 90.14, 90.00 degrees
Space group Cm (No. 8)
One atom of each set of equivalent atoms:
La1 0.000 0.000 0.000 [2 per cell]
La2 0.011 0.500 0.505 [2 per cell]
La3 0.472 0.500 0.635 [2 per cell]
Mg1 0.007 0.000 0.324 [2 per cell]
Ti1 0.240 0.251 0.816 [4 per cell]
Ti2 0.254 0.242 0.248 [4 per cell]
O1 0.005 0.254 0.326 [4 per cell]
O2 0.235 0.000 0.783 [2 per cell]
O3 0.237 0.303 0.597 [4 per cell]
O4 0.243 0.219 0.050 [4 per cell]
O5 0.252 0.500 0.847 [2 per cell]
O6 0.255 0.000 0.348 [2 per cell]
O7 0.268 0.500 0.265 [2 per cell]
O8 0.491 0.268 0.815 [4 per cell]

Top 10 peaks for 15 to 90 degrees two-theta, by intensity:
hkl 2 0 2, 2.973 Å, I = 100.0; hkl 1 1 -3, 2.685 Å, I = 85.2; hkl 1 1 -1, 4.725 Å, I = 80.3; hkl 2 2 0, 2.750 Å, I = 77.6; hkl 1 3 -3, 1.920 Å, I = 49.1; hkl 1 1 0, 5.499 Å, I = 43.5; hkl 2 0 1, 3.583 Å, I = 29.9; hkl 0 4 0, 1.941 Å, I = 28.0; hkl 4 0 0, 1.947 Å, I = 27.6; hkl 2 2 2, 2.361 Å, I = 25.8



Rb2LiYCl6: theoretical PXRD pattern (Cu Ka), based on a cell relaxed with PBE.

Structural model:
Cell lengths 10.480, 10.480, 10.480 Å; angles 90.00, 90.00, 90.00 degrees
Space group Fm-3m (No. 225)
One atom of each set of equivalent atoms:
Rb1 0.250 0.250 0.250 [8 per cell]
Li1 0.000 0.000 0.000 [4 per cell]
Y1 0.000 0.000 0.500 [4 per cell]
Cl1 0.000 0.000 0.248 [24 per cell]

Top 10 peaks for 15 to 90 degrees two-theta, by intensity:
hkl 4 0 0, 2.620 Å, I = 100.0; hkl 2 2 0, 3.705 Å, I = 81.7; hkl 2 2 2, 3.025 Å, I = 75.0; hkl 4 4 0, 1.853 Å, I = 65.9; hkl 4 2 2, 2.139 Å, I = 37.6; hkl 8 4 0, 1.172 Å, I = 28.1; hkl 6 2 2, 1.580 Å, I = 26.4; hkl 4 4 4, 1.513 Å, I = 21.8; hkl 3 1 1, 3.160 Å, I = 21.5; hkl 6 4 2, 1.400 Å, I = 19.7



InGaAg2Te4: theoretical PXRD pattern (Cu Ka), based on a cell relaxed with PBE.

Structural model:
Cell lengths 6.503, 6.503, 12.625 Å; angles 90.00, 90.00, 90.00 degrees
Space group I-4 (No. 82)
One atom of each set of equivalent atoms:
In1 0.000 0.000 0.000 [2 per cell]
Ga1 0.000 0.500 0.750 [2 per cell]
Ag1 0.000 0.000 0.500 [2 per cell]
Ag2 0.000 0.500 0.250 [2 per cell]
Te1 0.238 0.743 0.630 [8 per cell]

Top 10 peaks for 15 to 90 degrees two-theta, by intensity:
hkl 1 1 2, 3.717 Å, I = 100.0; hkl 2 0 4, 2.265 Å, I = 51.0; hkl 3 1 2, 1.955 Å, I = 32.5; hkl 2 2 0, 2.299 Å, I = 26.7; hkl 4 2 4, 1.321 Å, I = 16.9; hkl 1 1 6, 1.913 Å, I = 15.1; hkl 3 1 6, 1.471 Å, I = 12.4; hkl 4 0 0, 1.626 Å, I = 8.8; hkl 2 2 8, 1.301 Å, I = 8.0; hkl 5 1 2, 1.250 Å, I = 7.0



CaSiO3: theoretical PXRD pattern (Cu Ka), based on a cell relaxed with PBE.

Structural model:
Cell lengths 7.218, 7.218, 7.218 Å; angles 90.00, 90.00, 90.00 degrees
Space group Im-3 (No. 204)
One atom of each set of equivalent atoms:
Ca1 0.000 0.000 0.000 [2 per cell]
Ca2 0.000 0.000 0.500 [6 per cell]
Si1 0.250 0.250 0.250 [8 per cell]
O1 0.000 0.260 0.239 [24 per cell]

Top 9 peaks for 15 to 90 degrees two-theta, by intensity:
hkl 2 2 0, 2.552 Å, I = 100.0; hkl 4 0 0, 1.805 Å, I = 73.6; hkl 2 2 2, 2.084 Å, I = 43.4; hkl 4 4 0, 1.276 Å, I = 38.1; hkl 4 2 2, 1.473 Å, I = 37.1; hkl 6 2 0, 1.141 Å, I = 16.1; hkl 3 1 2, 1.929 Å, I = 0.9; hkl 3 0 1, 2.283 Å, I = 0.9; hkl 2 0 0, 3.609 Å, I = 0.7



SmAlFe: theoretical PXRD pattern (Cu Ka), based on a cell relaxed with PBE.

Structural model:
Cell lengths 8.719, 5.472, 9.504 Å; angles 90.00, 90.00, 90.00 degrees
Space group Amm2 (No. 38)
One atom of each set of equivalent atoms:
Sm1 0.186 0.000 0.000 [4 per cell]
Sm2 0.300 0.000 0.670 [4 per cell]
Al1 0.000 0.000 0.494 [2 per cell]
Al2 0.500 0.000 0.170 [2 per cell]
Al3 0.500 0.244 0.414 [4 per cell]
Fe1 0.000 0.241 0.255 [4 per cell]
Fe2 0.238 0.000 0.326 [4 per cell]

Top 10 peaks for 15 to 90 degrees two-theta, by intensity:
hkl 2 2 0, 2.319 Å, I = 100.0; hkl 0 1 3, 2.740 Å, I = 80.3; hkl 3 0 2, 2.478 Å, I = 77.7; hkl 1 0 4, 2.289 Å, I = 33.4; hkl 3 2 4, 1.527 Å, I = 25.1; hkl 2 0 0, 4.359 Å, I = 23.7; hkl 5 2 2, 1.405 Å, I = 23.2; hkl 1 1 1, 4.167 Å, I = 17.3; hkl 5 1 1, 1.637 Å, I = 16.4; hkl 2 3 3, 1.486 Å, I = 15.1



Na2Ge2S5: theoretical PXRD pattern (Cu Ka), based on a cell relaxed with PBE.

Structural model:
Cell lengths 12.963, 13.185, 10.717 Å; angles 90.00, 90.00, 90.00 degrees
Space group Cmcm (No. 63)
One atom of each set of equivalent atoms:
Na1 0.147 0.000 0.000 [8 per cell]
Na2 0.165 0.256 0.250 [8 per cell]
Ge1 0.000 0.255 0.581 [8 per cell]
Ge2 0.139 0.452 0.750 [8 per cell]
S1 0.000 0.154 0.750 [4 per cell]
S2 0.000 0.159 0.083 [8 per cell]
S3 0.000 0.447 0.250 [4 per cell]
S4 0.145 0.351 0.579 [16 per cell]
S5 0.225 0.046 0.750 [8 per cell]

Top 10 peaks for 15 to 90 degrees two-theta, by intensity:
hkl 2 2 0, 4.627 Å, I = 100.0; hkl 3 3 1, 2.961 Å, I = 73.4; hkl 3 5 3, 1.904 Å, I = 58.4; hkl 0 2 2, 4.158 Å, I = 49.9; hkl 1 3 3, 2.711 Å, I = 33.4; hkl 0 4 0, 3.289 Å, I = 31.4; hkl 0 2 4, 2.481 Å, I = 27.9; hkl 4 2 1, 2.807 Å, I = 25.0; hkl 0 2 3, 3.141 Å, I = 22.1; hkl 1 1 3, 3.332 Å, I = 21.8



Rb3Cr: theoretical PXRD pattern (Cu Ka), based on a cell relaxed with PBE.

Structural model:
Cell lengths 8.8954, 8.8954, 6.9743 Å; angles 90.00, 90.00, 120.00 degrees
Space group P6_3/mmc (No. 194)
One atom of each set of equivalent atoms:
Rb1 0.1769 0.3537 0.2500 [6 per cell]
Cr1 0.3333 0.6667 0.7500 [2 per cell]

Top 10 peaks for 15 to 90 degrees two-theta, by intensity:
hkl 2 0 1, 3.372 Å, I = 100.0; hkl 0 0 2, 3.487 Å, I = 24.9; hkl 2 0 0, 3.852 Å, I = 23.4; hkl 2 2 2, 1.875 Å, I = 22.6; hkl 2 0 3, 1.990 Å, I = 21.7; hkl 2 2 0, 2.224 Å, I = 20.1; hkl 2 0 2, 2.585 Å, I = 16.1; hkl 4 0 1, 1.856 Å, I = 16.1; hkl 4 2 1, 1.425 Å, I = 12.0; hkl 2 2 4, 1.372 Å, I = 8.1



MgSn3: theoretical PXRD pattern (Cu Ka), based on a cell relaxed with PBE.

Structural model:
Cell lengths 3.3367, 3.3367, 10.8782 Å; angles 90.00, 90.00, 120.00 degrees
Space group P-6m2 (No. 187)
One atom of each set of equivalent atoms:
Mg1 0.0000 0.0000 0.0000 [1 per cell]
Sn1 0.0000 0.0000 0.5000 [1 per cell]
Sn2 0.6667 0.3333 0.2335 [2 per cell]

Top 10 peaks for 15 to 90 degrees two-theta, by intensity:
hkl 1 0 2, 2.552 Å, I = 100.0; hkl 1 0 0, 2.890 Å, I = 27.7; hkl 0 0 4, 2.720 Å, I = 23.9; hkl 1 1 4, 1.422 Å, I = 20.5; hkl 1 1 0, 1.668 Å, I = 19.1; hkl 1 0 6, 1.536 Å, I = 17.2; hkl 1 0 4, 1.980 Å, I = 16.4; hkl 2 0 2, 1.396 Å, I = 16.1; hkl 1 0 1, 2.793 Å, I = 13.7; hkl 0 0 3, 3.626 Å, I = 10.5



TbTmHg2: theoretical PXRD pattern (Cu Ka), based on a cell relaxed with PBE.

Structural model:
Cell lengths 7.422, 7.422, 7.422 Å; angles 90.00, 90.00, 90.00 degrees
Space group Fm-3m (No. 225)
One atom of each set of equivalent atoms:
Tb1 0.000 0.000 0.000 [4 per cell]
Tm1 0.000 0.000 0.500 [4 per cell]
Hg1 0.250 0.250 0.250 [8 per cell]

Top 7 peaks for 15 to 90 degrees two-theta, by intensity:
hkl 2 2 0, 2.624 Å, I = 100.0; hkl 4 2 2, 1.515 Å, I = 38.0; hkl 4 0 0, 1.855 Å, I = 18.2; hkl 6 2 0, 1.173 Å, I = 16.9; hkl 4 4 0, 1.312 Å, I = 11.8; hkl 2 0 0, 3.711 Å, I = 1.2; hkl 4 2 0, 1.660 Å, I = 0.6



YGa6: theoretical PXRD pattern (Cu Ka), based on a cell relaxed with PBE.

Structural model:
Cell lengths 5.983, 5.983, 7.617 Å; angles 90.00, 90.00, 90.00 degrees
Space group P4/nbm (No. 125, origin choice 2)
One atom of each set of equivalent atoms:
Y1 0.250 0.750 0.000 [2 per cell]
Ga1 0.067 0.567 0.350 [8 per cell]
Ga2 0.250 0.250 0.160 [4 per cell]

Top 10 peaks for 15 to 90 degrees two-theta, by intensity:
hkl 2 0 1, 2.784 Å, I = 100.0; hkl 2 1 1, 2.524 Å, I = 49.7; hkl 1 1 3, 2.177 Å, I = 48.9; hkl 2 1 2, 2.189 Å, I = 44.9; hkl 2 2 0, 2.115 Å, I = 37.8; hkl 2 0 3, 1.936 Å, I = 25.0; hkl 1 1 2, 2.830 Å, I = 24.8; hkl 3 3 3, 1.233 Å, I = 22.0; hkl 3 1 2, 1.694 Å, I = 19.6; hkl 4 1 2, 1.356 Å, I = 18.7



AlBO3: theoretical PXRD pattern (Cu Ka), based on a cell relaxed with PBE.

Structural model:
Cell lengths 4.5055, 4.5055, 13.9029 Å; angles 90.00, 90.00, 120.00 degrees
Space group R-3c (No. 167, hexagonal axes)
One atom of each set of equivalent atoms:
Al1 0.0000 0.0000 0.0000 [6 per cell]
B1 0.0000 0.0000 0.2500 [6 per cell]
O1 0.0000 0.3079 0.2500 [18 per cell]

Top 10 peaks for 15 to 90 degrees two-theta, by intensity:
hkl 1 0 4, 2.595 Å, I = 100.0; hkl 1 1 3, 2.026 Å, I = 91.0; hkl 1 1 6, 1.615 Å, I = 46.6; hkl 3 0 0, 1.301 Å, I = 31.1; hkl 0 1 2, 3.403 Å, I = 23.0; hkl 0 1 8, 1.588 Å, I = 19.0; hkl 2 0 2, 1.878 Å, I = 17.4; hkl 2 1 4, 1.358 Å, I = 15.2; hkl 0 0 6, 2.317 Å, I = 12.9; hkl 0 2 4, 1.701 Å, I = 12.1



ZnFe: theoretical PXRD pattern (Cu Ka), based on a cell relaxed with PBE.

Structural model:
Cell lengths 2.573, 2.573, 3.884 Å; angles 90.00, 90.00, 90.00 degrees
Space group P4/mmm (No. 123)
One atom of each set of equivalent atoms:
Zn1 0.000 0.000 0.000 [1 per cell]
Fe1 0.500 0.500 0.500 [1 per cell]

Top 9 peaks for 15 to 90 degrees two-theta, by intensity:
hkl 1 0 1, 2.145 Å, I = 100.0; hkl 1 1 0, 1.819 Å, I = 29.2; hkl 2 1 1, 1.103 Å, I = 20.5; hkl 1 1 2, 1.328 Å, I = 19.0; hkl 0 0 2, 1.942 Å, I = 18.2; hkl 1 0 3, 1.156 Å, I = 11.8; hkl 2 0 0, 1.286 Å, I = 8.5; hkl 0 0 1, 3.884 Å, I = 1.0; hkl 1 0 0, 2.573 Å, I = 0.8